Record 1
# RbEr2MnTe4
Computed PXRD pattern, Cu Kα X-rays. Input: a DFT-relaxed cell (PBE, Alexandria).
No peak broadening, texture or thermal motion is included.

Structural model:
Unit cell a=7.980 b=7.980 c=15.455 alpha=90.00 beta=90.00 gamma=148.00
Sites, in units of the cell vectors:
Rb (0.114, 0.886, 0.750)
Rb (0.886, 0.114, 0.250)
Er (0.370, 0.630, 0.563)
Er (0.370, 0.630, 0.937)
Er (0.630, 0.370, 0.063)
Er (0.630, 0.370, 0.437)
Mn (0.166, 0.834, 0.250)
Mn (0.834, 0.166, 0.750)
Te (0.000, 0.000, 0.000)
Te (0.000, 0.000, 0.500)
Te (0.263, 0.737, 0.107)
Te (0.263, 0.737, 0.393)
Te (0.436, 0.564, 0.750)
Te (0.564, 0.436, 0.250)
Te (0.737, 0.263, 0.607)
Te (0.737, 0.263, 0.893)

The 12 most intense peaks (15 to 90 degrees two-theta), most intense first:
2θ = 29.17°, intensity 100; 2θ = 27.36°, intensity 98; 2θ = 39.87°, intensity 66; 2θ = 41.04°, intensity 62; 2θ = 25.82°, intensity 54; 2θ = 39.34°, intensity 33; 2θ = 35.99°, intensity 29; 2θ = 31.20°, intensity 26; 2θ = 26.73°, intensity 25; 2θ = 20.77°, intensity 24; 2θ = 39.76°, intensity 21; 2θ = 58.15°, intensity 21

Record 2
# VGaPt
Computed PXRD pattern, Cu Kα X-rays. Input: a DFT-relaxed cell (PBE, Alexandria).
No peak broadening, texture or thermal motion is included.

Structural model:
Unit cell a=12.919 b=3.574 c=3.865 alpha=90.00 beta=96.00 gamma=90.00
Sites, in units of the cell vectors:
V (0.000, 0.000, 0.000)
V (0.000, 0.500, 0.500)
V (0.500, 0.000, 0.500)
V (0.500, 0.500, 0.000)
Ga (0.158, 0.000, 0.562)
Ga (0.342, 0.500, 0.438)
Ga (0.658, 0.500, 0.562)
Ga (0.842, 0.000, 0.438)
Pt (0.160, 0.500, 0.072)
Pt (0.340, 0.000, 0.928)
Pt (0.660, 0.000, 0.072)
Pt (0.840, 0.500, 0.928)

The 12 most intense peaks (15 to 90 degrees two-theta), most intense first:
2θ = 41.71°, intensity 100; 2θ = 39.04°, intensity 97; 2θ = 34.48°, intensity 66; 2θ = 42.20°, intensity 49; 2θ = 51.12°, intensity 30; 2θ = 32.64°, intensity 29; 2θ = 23.14°, intensity 27; 2θ = 27.77°, intensity 24; 2θ = 68.38°, intensity 23; 2θ = 59.42°, intensity 20; 2θ = 47.30°, intensity 18; 2θ = 50.99°, intensity 17

Record 3
# Ho4Cd3Os
Computed PXRD pattern, Cu Kα X-rays. Input: a DFT-relaxed cell (PBE, Alexandria).
No peak broadening, texture or thermal motion is included.

Structural model:
Unit cell a=3.467 b=3.467 c=16.157 alpha=90.00 beta=90.00 gamma=90.00
Sites, in units of the cell vectors:
Ho (0.000, 0.000, 0.101)
Ho (0.000, 0.000, 0.368)
Ho (0.000, 0.000, 0.632)
Ho (0.000, 0.000, 0.899)
Cd (0.500, 0.500, 0.240)
Cd (0.500, 0.500, 0.500)
Cd (0.500, 0.500, 0.760)
Os (0.500, 0.500, 0.000)

The 12 most intense peaks (15 to 90 degrees two-theta), most intense first:
2θ = 34.08°, intensity 100; 2θ = 36.66°, intensity 46; 2θ = 64.36°, intensity 33; 2θ = 52.82°, intensity 16; 2θ = 59.29°, intensity 14; 2θ = 44.88°, intensity 8; 2θ = 71.76°, intensity 8; 2θ = 89.37°, intensity 8; 2θ = 87.88°, intensity 7; 2θ = 38.07°, intensity 5; 2θ = 77.95°, intensity 5; 2θ = 47.31°, intensity 4

Record 4
# Tl2Cu2Te2Se
Computed PXRD pattern, Cu Kα X-rays. Input: a DFT-relaxed cell (PBE, Alexandria).
No peak broadening, texture or thermal motion is included.

Structural model:
Unit cell a=4.031 b=6.714 c=8.079 alpha=113.63 beta=90.36 gamma=106.59
Sites, in units of the cell vectors:
Tl (0.058, 0.112, 0.313)
Tl (0.942, 0.888, 0.687)
Cu (0.292, 0.588, 0.937)
Cu (0.708, 0.412, 0.063)
Te (0.307, 0.618, 0.272)
Te (0.693, 0.382, 0.728)
Se (0.500, 0.000, 0.000)

The 12 most intense peaks (15 to 90 degrees two-theta), most intense first:
2θ = 27.74°, intensity 100; 2θ = 27.92°, intensity 39; 2θ = 36.77°, intensity 29; 2θ = 31.39°, intensity 29; 2θ = 31.54°, intensity 27; 2θ = 44.98°, intensity 27; 2θ = 24.28°, intensity 21; 2θ = 33.69°, intensity 21; 2θ = 34.12°, intensity 20; 2θ = 32.19°, intensity 18; 2θ = 31.73°, intensity 18; 2θ = 30.07°, intensity 16

Record 5
# PmScAg4
Computed PXRD pattern, Cu Kα X-rays. Input: a DFT-relaxed cell (PBE, Alexandria).
No peak broadening, texture or thermal motion is included.

Structural model:
Unit cell a=5.269 b=9.180 c=5.239 alpha=90.00 beta=90.28 gamma=90.00
Sites, in units of the cell vectors:
Pm (0.000, 0.000, 0.000)
Pm (0.500, 0.500, 0.000)
Sc (0.000, 0.500, 0.500)
Sc (0.500, 0.000, 0.500)
Ag (0.000, 0.176, 0.500)
Ag (0.000, 0.335, 0.000)
Ag (0.000, 0.665, 0.000)
Ag (0.000, 0.824, 0.500)
Ag (0.500, 0.165, 0.000)
Ag (0.500, 0.324, 0.500)
Ag (0.500, 0.676, 0.500)
Ag (0.500, 0.835, 0.000)

The 12 most intense peaks (15 to 90 degrees two-theta), most intense first:
2θ = 38.10°, intensity 100; 2θ = 34.03°, intensity 35; 2θ = 34.23°, intensity 34; 2θ = 63.74°, intensity 21; 2θ = 48.91°, intensity 13; 2θ = 49.17°, intensity 12; 2θ = 63.54°, intensity 10; 2θ = 63.94°, intensity 10; 2θ = 81.62°, intensity 8; 2θ = 71.28°, intensity 7; 2θ = 71.40°, intensity 7; 2θ = 19.41°, intensity 6

Record 6
# RbNaHF
Computed PXRD pattern, Cu Kα X-rays. Input: a DFT-relaxed cell (PBE, Alexandria).
No peak broadening, texture or thermal motion is included.

Structural model:
Unit cell a=4.030 b=4.030 c=13.171 alpha=90.00 beta=90.00 gamma=120.00
Sites, in units of the cell vectors:
Rb (0.333, 0.667, 0.000)
Rb (0.667, 0.333, 0.500)
Na (0.000, 0.000, 0.240)
Na (0.000, 0.000, 0.740)
H (0.333, 0.667, 0.674)
H (0.667, 0.333, 0.174)
F (0.000, 0.000, 0.404)
F (0.000, 0.000, 0.904)

The 12 most intense peaks (15 to 90 degrees two-theta), most intense first:
2θ = 26.42°, intensity 100; 2θ = 32.78°, intensity 60; 2θ = 28.95°, intensity 56; 2θ = 44.99°, intensity 35; 2θ = 27.08°, intensity 27; 2θ = 43.02°, intensity 26; 2θ = 53.30°, intensity 24; 2θ = 49.02°, intensity 23; 2θ = 47.17°, intensity 17; 2θ = 52.93°, intensity 14; 2θ = 55.48°, intensity 12; 2θ = 56.77°, intensity 12

Record 7
# Sr3H
Computed PXRD pattern, Cu Kα X-rays. Input: a DFT-relaxed cell (PBE, Alexandria).
No peak broadening, texture or thermal motion is included.

Structural model:
Unit cell a=7.822 b=7.822 c=7.822 alpha=60.00 beta=60.00 gamma=60.00
Sites, in units of the cell vectors:
Sr (0.000, 0.000, 0.000)
Sr (0.000, 0.000, 0.500)
Sr (0.000, 0.500, 0.000)
Sr (0.375, 0.375, 0.375)
Sr (0.500, 0.000, 0.000)
Sr (0.625, 0.625, 0.625)
H (0.125, 0.125, 0.125)
H (0.875, 0.875, 0.875)

The 12 most intense peaks (15 to 90 degrees two-theta), most intense first:
2θ = 26.73°, intensity 100; 2θ = 27.94°, intensity 42; 2θ = 42.46°, intensity 38; 2θ = 46.44°, intensity 35; 2θ = 22.74°, intensity 27; 2θ = 64.73°, intensity 24; 2θ = 55.07°, intensity 18; 2θ = 54.39°, intensity 14; 2θ = 74.25°, intensity 13; 2θ = 39.93°, intensity 12; 2θ = 86.13°, intensity 12; 2θ = 83.33°, intensity 8

Record 8
# LiDy2CuO5
Computed PXRD pattern, Cu Kα X-rays. Input: a DFT-relaxed cell (PBE, Alexandria).
No peak broadening, texture or thermal motion is included.

Structural model:
Unit cell a=6.451 b=6.451 c=5.505 alpha=90.00 beta=90.00 gamma=90.00
Sites, in units of the cell vectors:
Li (0.000, 0.000, 0.000)
Li (0.500, 0.500, 0.000)
Dy (0.176, 0.324, 0.500)
Dy (0.324, 0.824, 0.500)
Dy (0.676, 0.176, 0.500)
Dy (0.824, 0.676, 0.500)
Cu (0.000, 0.500, 0.000)
Cu (0.500, 0.000, 0.000)
O (0.000, 0.000, 0.500)
O (0.135, 0.635, 0.244)
O (0.135, 0.635, 0.756)
O (0.365, 0.135, 0.244)
O (0.365, 0.135, 0.756)
O (0.500, 0.500, 0.500)
O (0.635, 0.865, 0.244)
O (0.635, 0.865, 0.756)
O (0.865, 0.365, 0.244)
O (0.865, 0.365, 0.756)

The 12 most intense peaks (15 to 90 degrees two-theta), most intense first:
2θ = 16.10°, intensity 100; 2θ = 35.12°, intensity 94; 2θ = 32.16°, intensity 69; 2θ = 45.55°, intensity 64; 2θ = 19.46°, intensity 39; 2θ = 31.00°, intensity 38; 2θ = 47.53°, intensity 35; 2θ = 32.53°, intensity 32; 2θ = 61.63°, intensity 26; 2θ = 59.73°, intensity 23; 2θ = 69.05°, intensity 20; 2θ = 59.04°, intensity 14